For Nb4Si23, the GGA-PBE geometry in Alexandria gives the calculated powder diffractogram in this record (a wavelength of 1.5418 Å).
No peak broadening, texture or thermal motion is included.

Main lines, in order of falling intensity (10 to 80 degrees two-theta):
2θ 33.41, I 100; 2θ 32.16, I 42; 2θ 56.53, I 38; 2θ 30.86, I 27; 2θ 35.79, I 19; 2θ 54.89, I 18; 2θ 53.22, I 17; 2θ 19.78, I 13

```
Nb4Si23
1.0
10.036 0.000 0.000
0.000 10.036 0.000
0.000 0.000 10.036
Nb Si
8 46
direct
0.000 0.000 0.000 Nb
0.000 0.250 0.500 Nb
0.000 0.750 0.500 Nb
0.250 0.500 0.000 Nb
0.500 0.000 0.250 Nb
0.500 0.000 0.750 Nb
0.500 0.500 0.500 Nb
0.750 0.500 0.000 Nb
0.000 0.311 0.115 Si
0.000 0.311 0.885 Si
0.000 0.500 0.250 Si
0.000 0.500 0.750 Si
0.000 0.689 0.115 Si
0.000 0.689 0.885 Si
0.115 0.000 0.311 Si
0.115 0.000 0.689 Si
0.182 0.182 0.182 Si
0.182 0.182 0.818 Si
0.182 0.818 0.182 Si
0.182 0.818 0.818 Si
0.189 0.500 0.385 Si
0.189 0.500 0.615 Si
0.250 0.000 0.500 Si
0.311 0.115 0.000 Si
0.311 0.885 0.000 Si
0.318 0.318 0.318 Si
0.318 0.318 0.682 Si
0.318 0.682 0.318 Si
0.318 0.682 0.682 Si
0.385 0.189 0.500 Si
0.385 0.811 0.500 Si
0.500 0.250 0.000 Si
0.500 0.385 0.189 Si
0.500 0.385 0.811 Si
0.500 0.615 0.189 Si
0.500 0.615 0.811 Si
0.500 0.750 0.000 Si
0.615 0.189 0.500 Si
0.615 0.811 0.500 Si
0.682 0.318 0.318 Si
0.682 0.318 0.682 Si
0.682 0.682 0.318 Si
0.682 0.682 0.682 Si
0.689 0.115 0.000 Si
0.689 0.885 0.000 Si
0.750 0.000 0.500 Si
0.811 0.500 0.385 Si
0.811 0.500 0.615 Si
0.818 0.182 0.182 Si
0.818 0.182 0.818 Si
0.818 0.818 0.182 Si
0.818 0.818 0.818 Si
0.885 0.000 0.311 Si
0.885 0.000 0.689 Si
```

=====

For TaNb4Si3, the GGA-PBE geometry in Alexandria gives the calculated powder diffractogram in this record (a wavelength of 1.5418 Å).
No peak broadening, texture or thermal motion is included.

Main lines, in order of falling intensity (10 to 80 degrees two-theta):
2θ 41.00, I 100; 2θ 40.12, I 90; 2θ 43.55, I 88; 2θ 28.07, I 76; 2θ 36.70, I 73; 2θ 39.48, I 65; 2θ 12.45, I 55; 2θ 17.65, I 34

```
TaNb4Si3
1.0
-5.026 5.026 2.562
5.026 -5.026 2.562
5.026 5.026 -2.562
Ta Nb Si
2 8 6
direct
0.250 0.750 0.500 Ta
0.750 0.250 0.500 Ta
0.076 0.780 0.856 Nb
0.220 0.076 0.296 Nb
0.280 0.576 0.856 Nb
0.424 0.280 0.704 Nb
0.576 0.720 0.296 Nb
0.720 0.424 0.144 Nb
0.780 0.924 0.704 Nb
0.924 0.220 0.144 Nb
0.164 0.336 0.500 Si
0.250 0.250 0.000 Si
0.336 0.836 0.171 Si
0.664 0.164 0.829 Si
0.750 0.750 0.000 Si
0.836 0.664 0.500 Si
```

=====

For ThTaNbSi2, the GGA-PBE geometry in Alexandria gives the calculated powder diffractogram in this record (a wavelength of 1.5418 Å).
No peak broadening, texture or thermal motion is included.

Main lines, in order of falling intensity (10 to 80 degrees two-theta):
2θ 34.51, I 100; 2θ 22.96, I 39; 2θ 31.74, I 32; 2θ 44.09, I 32; 2θ 30.76, I 26; 2θ 74.90, I 22; 2θ 54.72, I 21; 2θ 57.13, I 19

```
ThTaNbSi2
1.0
4.108 0.000 0.000
0.000 4.108 0.000
0.000 0.000 11.628
Th Ta Nb Si
2 2 2 4
direct
0.000 0.000 0.000 Th
0.500 0.500 0.500 Th
0.000 0.500 0.750 Ta
0.500 0.000 0.250 Ta
0.000 0.500 0.250 Nb
0.500 0.000 0.750 Nb
0.000 0.000 0.395 Si
0.000 0.000 0.605 Si
0.500 0.500 0.105 Si
0.500 0.500 0.895 Si
```

=====

For Tb2Nb3Si4, the GGA-PBE geometry in Alexandria gives the calculated powder diffractogram in this record (a wavelength of 1.5418 Å).
No peak broadening, texture or thermal motion is included.

Main lines, in order of falling intensity (10 to 80 degrees two-theta):
2θ 36.48, I 100; 2θ 36.27, I 96; 2θ 40.64, I 65; 2θ 41.15, I 55; 2θ 36.97, I 54; 2θ 58.53, I 50; 2θ 33.55, I 49; 2θ 33.97, I 46

```
Tb2Nb3Si4
1.0
7.071 0.000 0.000
0.000 7.079 0.000
-2.231 0.000 6.553
Tb Nb Si
4 6 8
direct
0.188 0.170 0.065 Tb
0.188 0.330 0.565 Tb
0.812 0.670 0.435 Tb
0.812 0.830 0.935 Tb
0.256 0.676 0.248 Nb
0.256 0.824 0.748 Nb
0.500 0.000 0.500 Nb
0.500 0.500 0.000 Nb
0.744 0.176 0.252 Nb
0.744 0.324 0.752 Nb
0.084 0.537 0.868 Si
0.084 0.963 0.368 Si
0.494 0.125 0.872 Si
0.494 0.375 0.372 Si
0.506 0.625 0.628 Si
0.506 0.875 0.128 Si
0.916 0.037 0.632 Si
0.916 0.463 0.132 Si
```

=====

For Nb4Si3Tc, the GGA-PBE geometry in Alexandria gives the calculated powder diffractogram in this record (a wavelength of 1.5418 Å).
No peak broadening, texture or thermal motion is included.

Main lines, in order of falling intensity (10 to 80 degrees two-theta):
2θ 41.51, I 100; 2θ 37.15, I 87; 2θ 40.60, I 64; 2θ 44.14, I 56; 2θ 40.02, I 40; 2θ 28.40, I 32; 2θ 26.71, I 29; 2θ 35.51, I 26

```
Nb4Si3Tc
1.0
-4.968 4.968 2.528
4.968 -4.968 2.528
4.968 4.968 -2.528
Nb Si Tc
8 6 2
direct
0.080 0.780 0.859 Nb
0.220 0.080 0.300 Nb
0.280 0.580 0.859 Nb
0.420 0.280 0.700 Nb
0.580 0.720 0.300 Nb
0.720 0.420 0.141 Nb
0.780 0.920 0.700 Nb
0.920 0.220 0.141 Nb
0.159 0.341 0.500 Si
0.250 0.250 0.000 Si
0.341 0.841 0.182 Si
0.659 0.159 0.818 Si
0.750 0.750 0.000 Si
0.841 0.659 0.500 Si
0.250 0.750 0.500 Tc
0.750 0.250 0.500 Tc
```

=====

For Nb2Si4Tc, the GGA-PBE geometry in Alexandria gives the calculated powder diffractogram in this record (a wavelength of 1.5418 Å).
No peak broadening, texture or thermal motion is included.

Main lines, in order of falling intensity (10 to 80 degrees two-theta):
2θ 27.53, I 100; 2θ 40.77, I 95; 2θ 14.02, I 79; 2θ 39.33, I 73; 2θ 57.94, I 66; 2θ 28.79, I 33; 2θ 56.84, I 24; 2θ 41.95, I 19

```
Nb2Si4Tc
1.0
4.582 0.000 0.000
0.000 4.582 0.000
0.000 0.000 12.637
Nb Si Tc
4 8 2
direct
0.000 0.000 0.105 Nb
0.000 0.000 0.895 Nb
0.500 0.500 0.395 Nb
0.500 0.500 0.605 Nb
0.000 0.000 0.307 Si
0.000 0.000 0.693 Si
0.000 0.500 0.000 Si
0.000 0.500 0.500 Si
0.500 0.000 0.000 Si
0.500 0.000 0.500 Si
0.500 0.500 0.193 Si
0.500 0.500 0.807 Si
0.000 0.000 0.500 Tc
0.500 0.500 0.000 Tc
```